Record 1
Diffraction record for MoPO5. The powder X-ray diffraction pattern is computed, not measured: it uses the GGA+U geometry in the Materials Project and Cu Kα (weighted mean of Kα1 and Kα2).

Peak list (10 most intense, 10° ≤ 2θ ≤ 90°, low angle first)
2θ = 15.25°, rel. 100, (1 1 1); 2θ = 17.88°, rel. 27, (2 2 0); 2θ = 21.41°, rel. 24, (0 4 0); 2θ = 21.52°, rel. 17, (1 3 1); 2θ = 25.48°, rel. 31, (3 1 1); 2θ = 29.75°, rel. 48, (3 3 1); 2θ = 30.54°, rel. 39, (1 5 1); 2θ = 30.77°, rel. 54, (2 2 2); 2θ = 41.92°, rel. 16, (5 3 1); 2θ = 43.85°, rel. 25, (2 6 2)

Unit cell a=12.375 b=16.603 c=7.170 alpha=90.00 beta=90.00 gamma=90.00
Space group Fdd2 (No. 43)
One atom of each set of equivalent atoms:
Mo  0.114  0.380  0.000 (multiplicity 16)
P  0.001  0.215  0.116 (multiplicity 16)
O  0.002  0.082  0.619 (multiplicity 16)
O  0.018  0.340  0.785 (multiplicity 16)
O  0.021  0.162  0.942 (multiplicity 16)
O  0.101  0.230  0.596 (multiplicity 16)
O  0.101  0.272  0.135 (multiplicity 16)

=====

Record 2
Diffraction record for Li3V2O4F4. The powder X-ray diffraction pattern is computed, not measured: it uses the GGA+U geometry in the Materials Project and Cu Kα (weighted mean of Kα1 and Kα2).

Peak list (10 most intense, 10° ≤ 2θ ≤ 90°, low angle first)
2θ = 11.65°, rel. 66, (0 0 1); 2θ = 21.31°, rel. 100, (1 0 1); 2θ = 24.76°, rel. 23, (0 2 0); 2θ = 25.16°, rel. 45, (0 2 -1); 2θ = 29.56°, rel. 61, (1 0 -2); 2θ = 39.62°, rel. 28, (1 1 -3); 2θ = 41.29°, rel. 23, (1 -3 1); 2θ = 51.52°, rel. 19, (2 0 3); 2θ = 54.23°, rel. 23, (1 -4 0); 2θ = 64.48°, rel. 21, (3 -2 2)

Unit cell a=4.988 b=7.346 c=7.757 alpha=101.71 beta=90.11 gamma=90.12
Space group P1 (No. 1)
One atom of each set of equivalent atoms:
Li  0.000  0.000  0.000 (multiplicity 1)
Li  0.009  0.536  0.026 (multiplicity 1)
Li  0.477  0.892  0.538 (multiplicity 1)
Li  0.497  0.219  0.263 (multiplicity 1)
Li  0.510  0.682  0.233 (multiplicity 1)
Li  0.981  0.329  0.716 (multiplicity 1)
V  0.010  0.538  0.472 (multiplicity 1)
V  0.477  0.192  0.803 (multiplicity 1)
V  0.504  0.687  0.795 (multiplicity 1)
V  0.969  0.032  0.466 (multiplicity 1)
O  0.118  0.312  0.454 (multiplicity 1)
O  0.177  0.061  0.659 (multiplicity 1)
O  0.291  0.663  0.581 (multiplicity 1)
O  0.346  0.411  0.816 (multiplicity 1)
O  0.613  0.912  0.803 (multiplicity 1)
O  0.689  0.151  0.582 (multiplicity 1)
O  0.802  0.552  0.660 (multiplicity 1)
O  0.846  0.810  0.440 (multiplicity 1)
F  0.175  0.562  0.243 (multiplicity 1)
F  0.185  0.755  0.941 (multiplicity 1)
F  0.308  0.951  0.330 (multiplicity 1)
F  0.327  0.158  0.027 (multiplicity 1)
F  0.678  0.658  0.015 (multiplicity 1)
F  0.697  0.466  0.312 (multiplicity 1)
F  0.818  0.271  0.923 (multiplicity 1)
F  0.833  0.062  0.236 (multiplicity 1)

=====

Record 3
Diffraction record for KLi2FeO3. The powder X-ray diffraction pattern is computed, not measured: it uses the GGA+U geometry in the Materials Project and Cu Kα (weighted mean of Kα1 and Kα2).

Peak list (10 most intense, 10° ≤ 2θ ≤ 90°, low angle first)
2θ = 20.11°, rel. 100, (2 0 0); 2θ = 22.27°, rel. 38, (1 1 1); 2θ = 29.16°, rel. 60, (0 0 2); 2θ = 35.68°, rel. 31, (2 0 2); 2θ = 37.18°, rel. 97, (2 2 1); 2θ = 40.30°, rel. 45, (0 2 2); 2θ = 40.87°, rel. 27, (4 0 0); 2θ = 52.13°, rel. 28, (4 2 1); 2θ = 57.09°, rel. 23, (2 2 3); 2θ = 62.31°, rel. 26, (2 4 1)

Unit cell a=8.832 b=6.555 c=6.125 alpha=90.00 beta=90.00 gamma=90.00
Space group Cmcm (No. 63)
One atom of each set of equivalent atoms:
K  0.000  0.175  0.250 (multiplicity 4)
Li  0.232  0.500  0.000 (multiplicity 8)
Fe  0.000  0.318  0.750 (multiplicity 4)
O  0.000  0.500  0.000 (multiplicity 4)
O  0.178  0.162  0.750 (multiplicity 8)

=====

Record 4
Diffraction record for MgMnVP2O8F2. The powder X-ray diffraction pattern is computed, not measured: it uses the GGA+U geometry in the Materials Project and Cu Kα (weighted mean of Kα1 and Kα2).

Peak list (10 most intense, 10° ≤ 2θ ≤ 90°, low angle first)
2θ = 18.45°, rel. 42, (1 0 1); 2θ = 23.49°, rel. 14, (1 -1 0); 2θ = 26.17°, rel. 100, (1 0 -1); 2θ = 26.57°, rel. 13, (0 1 2); 2θ = 27.30°, rel. 14, (1 0 2); 2θ = 27.55°, rel. 26, (1 -1 1); 2θ = 27.78°, rel. 46, (1 1 2); 2θ = 42.98°, rel. 14, (1 -2 1); 2θ = 48.04°, rel. 12, (2 2 2); 2θ = 53.86°, rel. 15, (2 0 -2)

Unit cell a=5.275 b=5.449 c=7.364 alpha=69.04 beta=71.28 gamma=89.95
Space group P-1 (No. 2)
One atom of each set of equivalent atoms:
Mg  0.000  0.000  0.000 (multiplicity 1)
Mn  0.000  0.500  0.000 (multiplicity 1)
V  0.500  0.000  0.500 (multiplicity 1)
P  0.394  0.628  0.249 (multiplicity 2)
O  0.185  0.695  0.140 (multiplicity 2)
O  0.314  0.286  0.907 (multiplicity 2)
O  0.346  0.328  0.376 (multiplicity 2)
O  0.353  0.800  0.387 (multiplicity 2)
F  0.167  0.892  0.749 (multiplicity 2)